[1]
The following is a simulated powder X-ray diffraction pattern of CsLiH4SO5. It was derived from a crystal structure in the Materials Project, relaxed with GGA-PBE, using Cu Ka.
Kinematic intensities with the Lorentz-polarization factor, no thermal factor.

Crystal structure
```
data_CsLiH4SO5
_cell_length_a 12.1306
_cell_length_b 5.7403
_cell_length_c 4.8122
_cell_angle_alpha 90.00
_cell_angle_beta 109.02
_cell_angle_gamma 90.00
_symmetry_space_group_name_H-M 'C 1 m 1'
_symmetry_Int_Tables_number 8
loop_
_symmetry_equiv_pos_as_xyz
'x,y,z'
'x,-y,z'
'x+1/2,y+1/2,z'
'x+1/2,-y+1/2,z'
loop_
_atom_site_label
_atom_site_fract_x
_atom_site_fract_y
_atom_site_fract_z
Cs1 0.0000 0.0000 0.0000
Li1 0.3235 0.0000 0.3706
H1 0.0420 0.5000 0.4445
H2 0.0424 0.5000 0.7807
H3 0.2357 0.1350 0.7668
S1 0.2412 0.5000 0.2742
O1 0.1058 0.5000 0.1627
O2 0.2246 0.0000 0.6309
O3 0.2767 0.2852 0.1287
O4 0.4912 0.0000 0.5707
```

Main lines, by angle (10 to 90 degrees two-theta):
h k l, d [Å], I/Imax
1 1 0, 5.133, 56
0 0 1, 4.550, 42
2 0 -1, 4.314, 30
1 1 -1, 3.682, 17
1 1 1, 3.182, 100
3 1 -1, 3.020, 56
4 0 0, 2.869, 56
2 2 0, 2.567, 18
2 2 -1, 2.390, 25
1 1 -2, 2.202, 20
2 2 -2, 1.841, 15
1 3 1, 1.711, 16

***

[2]
The following is a simulated powder X-ray diffraction pattern of Cs3MgH5. It was derived from a crystal structure in the Materials Project, relaxed with GGA-PBE, using Cu Ka.
Kinematic intensities with the Lorentz-polarization factor, no thermal factor.

Crystal structure
```
data_Cs3MgH5
_cell_length_a 8.4367
_cell_length_b 8.4367
_cell_length_c 12.7825
_cell_angle_alpha 90.00
_cell_angle_beta 90.00
_cell_angle_gamma 90.00
_symmetry_space_group_name_H-M 'I 4/m c m'
_symmetry_Int_Tables_number 140
_symmetry_space_group_name_Hall '-I 4 2c'
loop_
_atom_site_label
_atom_site_fract_x
_atom_site_fract_y
_atom_site_fract_z
Cs1 0.0000 0.0000 0.2500
Cs2 0.1824 0.3176 0.0000
Mg1 0.0000 0.5000 0.2500
H1 0.0000 0.0000 0.0000
H2 0.1246 0.3754 0.3379
```

Main lines, by angle (10 to 90 degrees two-theta):
h k l, d [Å], I/Imax
1 1 2, 4.361, 33
2 1 1, 3.619, 62
2 0 2, 3.521, 100
0 0 4, 3.196, 31
2 2 0, 2.983, 22
2 1 3, 2.824, 37
3 1 0, 2.668, 20
2 2 4, 2.181, 18
3 1 4, 2.048, 19
4 1 1, 2.020, 22
3 3 2, 1.900, 36
4 1 3, 1.845, 16

***

[3]
The following is a simulated powder X-ray diffraction pattern of Cs4Mg3H10. It was derived from a crystal structure in the Materials Project, relaxed with GGA-PBE, using Cu Ka.
Kinematic intensities with the Lorentz-polarization factor, no thermal factor.

Crystal structure
```
data_Cs4Mg3H10
_cell_length_a 6.2677
_cell_length_b 14.6690
_cell_length_c 13.8087
_cell_angle_alpha 90.00
_cell_angle_beta 90.00
_cell_angle_gamma 90.00
_symmetry_space_group_name_H-M 'C m c e'
_symmetry_Int_Tables_number 64
_symmetry_space_group_name_Hall '-C 2ac 2'
loop_
_atom_site_label
_atom_site_fract_x
_atom_site_fract_y
_atom_site_fract_z
Cs1 0.0000 0.0474 0.1389
Cs2 0.0000 0.2467 0.3949
Mg1 0.0000 0.0000 0.5000
Mg2 0.0000 0.1163 0.6570
H1 0.0000 0.0247 0.3594
H2 0.0000 0.2451 0.6511
H3 0.2048 0.0965 0.5392
H4 0.2500 0.1038 0.7500
```

Main lines, by angle (10 to 90 degrees two-theta):
h k l, d [Å], I/Imax
1 1 1, 5.319, 13
1 1 2, 4.425, 16
0 4 0, 3.667, 14
1 1 3, 3.597, 20
0 0 4, 3.452, 26
1 3 2, 3.366, 100
2 0 0, 3.134, 32
1 3 3, 2.958, 22
2 0 4, 2.320, 18
1 3 6, 1.976, 13
1 7 2, 1.910, 20
3 3 2, 1.851, 18

***

[4]
The following is a simulated powder X-ray diffraction pattern of CsMgH3. It was derived from a crystal structure in the Materials Project, relaxed with GGA-PBE, using Cu Ka.
Kinematic intensities with the Lorentz-polarization factor, no thermal factor.

Crystal structure
```
data_CsMgH3
_cell_length_a 6.2573
_cell_length_b 6.2573
_cell_length_c 22.3846
_cell_angle_alpha 90.00
_cell_angle_beta 90.00
_cell_angle_gamma 120.00
_symmetry_space_group_name_H-M 'R -3 m'
_symmetry_Int_Tables_number 166
_symmetry_space_group_name_Hall '-R 3 2"'
loop_
_atom_site_label
_atom_site_fract_x
_atom_site_fract_y
_atom_site_fract_z
Cs1 0.0000 0.0000 0.0000
Cs2 0.0000 0.0000 0.2138
Mg1 0.0000 0.0000 0.3791
Mg2 0.0000 0.0000 0.5000
H1 0.0000 0.5000 0.0000
H2 0.0595 0.5298 0.2258
```

Main lines, by angle (10 to 90 degrees two-theta):
h k l, d [Å], I/Imax
1 0 1, 5.267, 23
1 0 4, 3.893, 55
0 1 5, 3.451, 86
1 1 0, 3.129, 100
0 2 4, 2.439, 17
2 0 5, 2.318, 30
1 0 10, 2.068, 21
1 1 9, 1.947, 22
2 1 4, 1.923, 15
1 2 5, 1.863, 30
3 0 0, 1.806, 20
0 2 10, 1.725, 15

***

[5]
The following is a simulated powder X-ray diffraction pattern of Cs3MgH5. It was derived from a crystal structure in the Materials Project, relaxed with GGA-PBE, using Cu Ka.
Kinematic intensities with the Lorentz-polarization factor, no thermal factor.

Crystal structure
```
data_Cs3MgH5
_cell_length_a 8.4333
_cell_length_b 8.4333
_cell_length_c 12.8408
_cell_angle_alpha 90.00
_cell_angle_beta 90.00
_cell_angle_gamma 90.00
_symmetry_space_group_name_H-M 'P 4/n c c'
_symmetry_Int_Tables_number 130
loop_
_symmetry_equiv_pos_as_xyz
'x,y,z'
'-x,-y,-z'
'-y+1/2,x,z'
'y+1/2,-x,-z'
'-x+1/2,-y+1/2,z'
'x+1/2,y+1/2,-z'
'y,-x+1/2,z'
'-y,x+1/2,-z'
'x+1/2,-y,-z+1/2'
'-x+1/2,y,z+1/2'
'-y,-x,-z+1/2'
'y,x,z+1/2'
'-x,y+1/2,-z+1/2'
'x,-y+1/2,z+1/2'
'y+1/2,x+1/2,-z+1/2'
'-y+1/2,-x+1/2,z+1/2'
loop_
_atom_site_label
_atom_site_fract_x
_atom_site_fract_y
_atom_site_fract_z
Cs1 0.0698 0.5698 0.2500
Cs2 0.2500 0.2500 0.0037
Mg1 0.2500 0.7500 0.0000
H1 0.1158 0.6353 0.9124
H2 0.2500 0.2500 0.2587
```

Main lines, by angle (10 to 90 degrees two-theta):
h k l, d [Å], I/Imax
1 1 2, 4.369, 35
2 1 1, 3.619, 66
2 0 2, 3.524, 100
0 0 4, 3.210, 33
2 2 0, 2.982, 22
2 1 3, 2.830, 39
3 1 0, 2.667, 21
2 2 4, 2.185, 18
3 1 4, 2.051, 20
4 1 1, 2.020, 22
3 3 2, 1.899, 20
4 1 5, 1.601, 18

***

[6]
The following is a simulated powder X-ray diffraction pattern of CsMgH3. It was derived from a crystal structure in the Materials Project, relaxed with GGA-PBE, using Cu Ka.
Kinematic intensities with the Lorentz-polarization factor, no thermal factor.

Crystal structure
```
data_CsMgH3
_cell_length_a 6.1576
_cell_length_b 10.0195
_cell_length_c 8.6112
_cell_angle_alpha 90.00
_cell_angle_beta 90.00
_cell_angle_gamma 90.00
_symmetry_space_group_name_H-M 'P m m n'
_symmetry_Int_Tables_number 59
loop_
_symmetry_equiv_pos_as_xyz
'x,y,z'
'-x,-y,-z'
'-x+1/2,-y+1/2,z'
'x+1/2,y+1/2,-z'
'x+1/2,-y,-z'
'-x+1/2,y,z'
'-x,y+1/2,-z'
'x,-y+1/2,z'
loop_
_atom_site_label
_atom_site_fract_x
_atom_site_fract_y
_atom_site_fract_z
Cs1 0.2500 0.0292 0.1661
Cs2 0.2500 0.2500 0.6818
Mg1 0.2500 0.6105 0.5734
Mg2 0.2500 0.7500 0.8648
H1 0.0000 0.0000 0.5000
H2 0.0145 0.7500 0.0020
H3 0.0493 0.7500 0.6668
H4 0.2500 0.5515 0.7916
H5 0.2500 0.7500 0.4065
```

Main lines, by angle (10 to 90 degrees two-theta):
h k l, d [Å], I/Imax
1 1 0, 5.246, 9
0 2 1, 4.330, 10
1 2 1, 3.538, 100
0 3 1, 3.114, 12
2 0 0, 3.079, 22
1 3 1, 2.779, 10
0 4 0, 2.506, 15
0 2 3, 2.491, 14
2 3 1, 2.189, 9
1 3 3, 2.053, 10
2 2 3, 1.936, 12
3 2 1, 1.854, 16

***

[7]
The following is a simulated powder X-ray diffraction pattern of Cs6MgNp2H16O18. It was derived from a crystal structure in the Materials Project, relaxed with GGA-PBE, using Cu Ka.
Kinematic intensities with the Lorentz-polarization factor, no thermal factor.

Crystal structure
```
data_Cs6MgNp2H16O18
_cell_length_a 13.0576
_cell_length_b 12.1383
_cell_length_c 8.0969
_cell_angle_alpha 90.00
_cell_angle_beta 93.86
_cell_angle_gamma 90.00
_symmetry_space_group_name_H-M 'C 1 2 1'
_symmetry_Int_Tables_number 5
loop_
_symmetry_equiv_pos_as_xyz
'x,y,z'
'-x,y,-z'
'x+1/2,y+1/2,z'
'-x+1/2,y+1/2,-z'
loop_
_atom_site_label
_atom_site_fract_x
_atom_site_fract_y
_atom_site_fract_z
Cs1 0.0000 0.0000 0.0000
Cs2 0.0000 0.1053 0.5000
Cs3 0.2029 0.4311 0.7463
Cs4 0.2096 0.6192 0.2124
Mg1 0.0000 0.7624 0.5000
Np1 0.2469 0.2742 0.2529
H1 0.0098 0.2774 0.8401
H2 0.0366 0.4692 0.0803
H3 0.0424 0.5513 0.5690
H4 0.0492 0.8315 0.2318
H5 0.0601 0.6576 0.7701
H6 0.0685 0.4009 0.3157
H7 0.1013 0.2169 0.9540
H8 0.1544 0.8988 0.5035
O1 0.0000 0.4972 0.5000
O2 0.0000 0.5226 0.0000
O3 0.0692 0.2249 0.8398
O4 0.0867 0.8295 0.3390
O5 0.0911 0.3763 0.2086
O6 0.0912 0.6694 0.6652
O7 0.1749 0.9176 0.6201
O8 0.1826 0.1488 0.1263
O9 0.1984 0.8287 0.9416
O10 0.2015 0.2279 0.4573
```

Main lines, by angle (10 to 90 degrees two-theta):
h k l, d [Å], I/Imax
2 0 0, 6.514, 59
2 2 0, 4.440, 35
3 1 0, 4.089, 24
0 0 2, 4.039, 24
2 0 -2, 3.541, 59
1 3 -1, 3.513, 100
1 3 1, 3.459, 36
2 0 2, 3.334, 38
4 0 0, 3.257, 30
4 2 -1, 2.756, 22
3 3 1, 2.739, 53
1 3 3, 2.189, 28

***

[8]
The following is a simulated powder X-ray diffraction pattern of CsMgPH12O10. It was derived from a crystal structure in the Materials Project, relaxed with GGA-PBE, using Cu Ka.
Kinematic intensities with the Lorentz-polarization factor, no thermal factor.

Crystal structure
```
data_CsMgPH12O10
_cell_length_a 10.1355
_cell_length_b 10.1355
_cell_length_c 10.1355
_cell_angle_alpha 90.00
_cell_angle_beta 90.00
_cell_angle_gamma 90.00
_symmetry_space_group_name_H-M 'F -4 3 m'
_symmetry_Int_Tables_number 216
_symmetry_space_group_name_Hall 'F -4 2 3'
loop_
_atom_site_label
_atom_site_fract_x
_atom_site_fract_y
_atom_site_fract_z
Cs1 0.0000 0.0000 0.0000
Mg1 0.2500 0.2500 0.7500
P1 0.0000 0.0000 0.5000
H1 0.0109 0.1918 0.3082
O1 0.0445 0.2500 0.7500
O2 0.0891 0.0891 0.4109
```

Main lines, by angle (10 to 90 degrees two-theta):
h k l, d [Å], I/Imax
1 1 1, 5.852, 31
2 0 0, 5.068, 59
2 2 0, 3.583, 100
3 1 1, 3.056, 60
2 2 2, 2.926, 81
4 0 0, 2.534, 37
3 3 1, 2.325, 25
4 2 2, 2.069, 32
5 1 1, 1.951, 32
4 4 0, 1.792, 33
5 3 1, 1.713, 20
6 4 2, 1.354, 27

***

[9]
The following is a simulated powder X-ray diffraction pattern of Cs2MgP4H8O16. It was derived from a crystal structure in the Materials Project, relaxed with GGA-PBE, using Cu Ka.
Kinematic intensities with the Lorentz-polarization factor, no thermal factor.

Crystal structure
```
data_Cs2MgP4H8O16
_cell_length_a 7.0813
_cell_length_b 7.5292
_cell_length_c 8.0326
_cell_angle_alpha 83.51
_cell_angle_beta 68.93
_cell_angle_gamma 87.69
_symmetry_space_group_name_H-M 'P -1'
_symmetry_Int_Tables_number 2
loop_
_symmetry_equiv_pos_as_xyz
'x,y,z'
'-x,-y,-z'
loop_
_atom_site_label
_atom_site_fract_x
_atom_site_fract_y
_atom_site_fract_z
Cs1 0.0901 0.2009 0.2793
Mg1 0.5000 0.0000 0.5000
P1 0.2211 0.3052 0.7512
P2 0.3735 0.7512 0.2374
H1 0.1072 0.7487 0.0891
H2 0.2716 0.5273 0.4519
H3 0.3704 0.6769 0.7017
H4 0.3890 0.8020 0.8436
O1 0.0221 0.3017 0.9215
O2 0.2367 0.1478 0.6454
O3 0.2571 0.4898 0.6458
O4 0.2740 0.5628 0.3226
O5 0.3048 0.8160 0.0825
O6 0.3355 0.8744 0.3821
O7 0.3844 0.2822 0.8542
O8 0.4254 0.7912 0.7139
```

Main lines, by angle (10 to 90 degrees two-theta):
h k l, d [Å], I/Imax
0 0 1, 7.464, 17
1 1 1, 4.965, 61
0 0 2, 3.733, 100
1 1 -1, 3.601, 34
0 2 1, 3.493, 27
1 -1 2, 3.309, 22
2 1 1, 3.252, 31
2 -1 0, 3.022, 57
2 1 2, 2.938, 24
0 2 2, 2.792, 18
2 -1 2, 2.763, 31
0 3 3, 1.861, 16